[1]
Starting from a structure optimized by DFT (PBE), the powder diffractogram of CsZnF3 was calculated for Cu Kα (weighted mean of Kα1 and Kα2).
Peak positions follow from Bragg's law for the DFT cell and can differ from measured ones.

Peak list (8 most intense, 10° ≤ 2θ ≤ 90°, sorted by position)
22.1 deg, rel. 51.6
23.1 deg, rel. 80.7
26.5 deg, rel. 100.0
28.1 deg, rel. 40.9
28.9 deg, rel. 48.6
32.1 deg, rel. 29.3
34.0 deg, rel. 29.9
40.0 deg, rel. 29.4

```
data_CsZnF3
_chemical_formula_sum 'Cs4 Zn4 F12'
_cell_length_a 8.463
_cell_length_b 8.463
_cell_length_c 5.573
_cell_angle_alpha 90.12
_cell_angle_beta 90.12
_cell_angle_gamma 87.17
_symmetry_space_group_name_H-M 'P 1'
_symmetry_Int_Tables_number 1
loop_
_symmetry_equiv_pos_as_xyz
'x,y,z'
loop_
_atom_site_label
_atom_site_fract_x
_atom_site_fract_y
_atom_site_fract_z
Cs1 0.083 0.315 0.197
Cs2 0.315 0.083 0.697
Cs3 0.685 0.917 0.303
Cs4 0.917 0.685 0.803
Zn1 0.276 0.724 0.250
Zn2 0.433 0.567 0.750
Zn3 0.567 0.433 0.250
Zn4 0.724 0.276 0.750
F1 0.050 0.715 0.331
F2 0.232 0.598 0.939
F3 0.285 0.950 0.169
F4 0.348 0.479 0.417
F5 0.402 0.768 0.561
F6 0.479 0.348 0.917
F7 0.521 0.652 0.083
F8 0.598 0.232 0.439
F9 0.652 0.521 0.583
F10 0.715 0.050 0.831
F11 0.768 0.402 0.061
F12 0.950 0.285 0.669
```



[2]
Starting from a structure optimized by DFT (PBE), the powder diffractogram of Na2TlBr4 was calculated for Cu Kα (weighted mean of Kα1 and Kα2).
Peak positions follow from Bragg's law for the DFT cell and can differ from measured ones.

Peak list (8 most intense, 10° ≤ 2θ ≤ 90°, sorted by position)
13.2 deg, rel. 98.1
13.3 deg, rel. 38.4
24.8 deg, rel. 100.0
26.9 deg, rel. 52.8
31.2 deg, rel. 50.6
34.0 deg, rel. 70.9
41.6 deg, rel. 37.3
41.8 deg, rel. 43.1

```
data_Na2TlBr4
_chemical_formula_sum 'Na4 Tl2 Br8'
_cell_length_a 7.761
_cell_length_b 13.269
_cell_length_c 4.262
_cell_angle_alpha 90.00
_cell_angle_beta 90.00
_cell_angle_gamma 90.00
_symmetry_space_group_name_H-M 'P 1'
_symmetry_Int_Tables_number 1
loop_
_symmetry_equiv_pos_as_xyz
'x,y,z'
loop_
_atom_site_label
_atom_site_fract_x
_atom_site_fract_y
_atom_site_fract_z
Na1 0.103 0.186 0.000
Na2 0.397 0.686 0.000
Na3 0.603 0.314 0.000
Na4 0.897 0.814 0.000
Tl1 0.000 0.500 0.500
Tl2 0.500 0.000 0.500
Br1 0.117 0.718 0.500
Br2 0.227 0.969 0.000
Br3 0.273 0.469 0.000
Br4 0.383 0.218 0.500
Br5 0.617 0.782 0.500
Br6 0.727 0.531 0.000
Br7 0.773 0.031 0.000
Br8 0.883 0.282 0.500
```



[3]
Starting from a structure optimized by DFT (PBE), the powder diffractogram of Dy4ScAs5 was calculated for Cu Kα (weighted mean of Kα1 and Kα2).
Peak positions follow from Bragg's law for the DFT cell and can differ from measured ones.

Peak list (8 most intense, 10° ≤ 2θ ≤ 90°, sorted by position)
26.8 deg, rel. 16.9
31.0 deg, rel. 100.0
44.4 deg, rel. 74.0
55.2 deg, rel. 25.7
73.4 deg, rel. 11.1
73.5 deg, rel. 21.5
81.8 deg, rel. 8.2
81.9 deg, rel. 16.1

```
data_Dy4ScAs5
_chemical_formula_sum 'Dy4 Sc1 As5'
_cell_length_a 7.058
_cell_length_b 7.058
_cell_length_c 7.058
_cell_angle_alpha 99.63
_cell_angle_beta 99.63
_cell_angle_gamma 131.70
_symmetry_space_group_name_H-M 'P 1'
_symmetry_Int_Tables_number 1
loop_
_symmetry_equiv_pos_as_xyz
'x,y,z'
loop_
_atom_site_label
_atom_site_fract_x
_atom_site_fract_y
_atom_site_fract_z
Dy1 0.098 0.700 0.798
Dy2 0.300 0.098 0.398
Dy3 0.700 0.902 0.602
Dy4 0.902 0.300 0.202
Sc1 0.500 0.500 0.000
As1 0.000 0.000 0.000
As2 0.207 0.402 0.609
As3 0.402 0.793 0.195
As4 0.598 0.207 0.805
As5 0.793 0.598 0.391
```